Diffraction record for Ba2In2Hg3. The powder XRD pattern is computed, not measured: it uses a structure optimized by DFT (GGA-PBE) and Cu Kα (λ = 1.5418 Å).

Principal peaks in the range 15 to 90 degrees two-theta, in order of rising 2θ:
| Position (°2θ) | I (rel.) |
| --- | --- |
| 28.43 | 83 |
| 29.09 | 100 |
| 35.81 | 41 |
| 37.20 | 45 |
| 39.06 | 34 |
| 39.90 | 31 |

Atomic structure:
```
data_Ba2In2Hg3
_chemical_formula_sum 'Ba8 In8 Hg12'
_cell_length_a 4.834
_cell_length_b 22.562
_cell_length_c 8.398
_cell_angle_alpha 90.00
_cell_angle_beta 90.00
_cell_angle_gamma 90.00
_symmetry_space_group_name_H-M 'C m c m'
_symmetry_Int_Tables_number 63
_symmetry_space_group_name_Hall '-C 2c 2'
loop_
_atom_site_label
_atom_site_fract_x
_atom_site_fract_y
_atom_site_fract_z
_atom_site_occupancy
Ba1 0.000 0.059 0.250 1
Ba2 0.000 0.158 0.750 1
In1 0.000 0.314 0.559 1
Hg1 0.000 0.222 0.250 1
Hg2 0.000 0.441 0.073 1
```

Diffraction record for Ba2In2Hg5. The powder XRD pattern is computed, not measured: it uses a structure optimized by DFT (GGA-PBE) and Cu Kα (λ = 1.5418 Å).

Principal peaks in the range 15 to 90 degrees two-theta, in order of rising 2θ:
| Position (°2θ) | I (rel.) |
| --- | --- |
| 29.57 | 100 |
| 34.83 | 50 |
| 35.03 | 22 |
| 48.85 | 15 |
| 50.08 | 18 |
| 59.24 | 29 |

Atomic structure:
```
data_Ba2In2Hg5
_chemical_formula_sum 'Ba2 In2 Hg5'
_cell_length_a 5.151
_cell_length_b 5.151
_cell_length_c 10.809
_cell_angle_alpha 90.00
_cell_angle_beta 90.00
_cell_angle_gamma 90.00
_symmetry_space_group_name_H-M 'P 4/m m m'
_symmetry_Int_Tables_number 123
_symmetry_space_group_name_Hall '-P 4 2'
loop_
_atom_site_label
_atom_site_fract_x
_atom_site_fract_y
_atom_site_fract_z
_atom_site_occupancy
Ba1 0.000 0.000 0.000 1
Ba2 0.000 0.000 0.500 1
In1 0.500 0.500 0.135 1
Hg1 0.000 0.500 0.271 1
Hg2 0.500 0.500 0.500 1
```

Diffraction record for BaIn5Hg3. The powder XRD pattern is computed, not measured: it uses a structure optimized by DFT (GGA-PBE) and Cu Kα (λ = 1.5418 Å).

Principal peaks in the range 15 to 90 degrees two-theta, in order of rising 2θ:
| Position (°2θ) | I (rel.) |
| --- | --- |
| 32.01 | 80 |
| 32.30 | 80 |
| 32.92 | 68 |
| 34.31 | 63 |
| 37.21 | 100 |
| 38.98 | 62 |

Atomic structure:
```
data_BaIn5Hg3
_chemical_formula_sum 'Ba2 In10 Hg6'
_cell_length_a 4.838
_cell_length_b 13.942
_cell_length_c 8.253
_cell_angle_alpha 90.00
_cell_angle_beta 104.53
_cell_angle_gamma 90.00
_symmetry_space_group_name_H-M 'P 1 21/m 1'
_symmetry_Int_Tables_number 11
loop_
_symmetry_equiv_pos_as_xyz
'x,y,z'
'-x,-y,-z'
'-x,y+1/2,-z'
'x,-y+1/2,z'
loop_
_atom_site_label
_atom_site_fract_x
_atom_site_fract_y
_atom_site_fract_z
_atom_site_occupancy
Ba1 0.176 0.250 0.355 1
In1 0.000 0.000 0.000 1
In2 0.199 0.545 0.394 1
In3 0.424 0.141 0.868 1
Hg1 0.148 0.750 0.297 1
Hg2 0.384 0.585 0.769 1
```